No. 1
MgGa2: calculated X-ray powder pattern (Cu Kα X-rays), based on a DFT-relaxed cell (PBE, the Materials Project).
Lines closer than 0.1° are merged.

Crystal structure
```
12
Lattice="10.7613 0.0000 0.0000 0.0000 3.1793 0.0000 -2.4119 0.0000 6.8134" Properties=species:S:1:pos:R:3 pbc="T T T"
Mg 1.6761 0.0000 1.0048
Mg 1.2927 1.5896 5.8086
Mg 7.0567 1.5896 1.0048
Mg 6.6733 0.0000 5.8086
Ga -1.6318 1.5896 5.4244
Ga 0.1746 0.0000 3.5835
Ga 2.7942 1.5896 3.2299
Ga 4.6005 0.0000 1.3890
Ga 3.7489 0.0000 5.4244
Ga 5.5552 1.5896 3.5835
Ga 8.1749 0.0000 3.2299
Ga 9.9812 1.5896 1.3890
```

The 8 most intense peaks (2θ from 5° to 70°), in order of rising 2θ:
two_theta, I_rel, (hkl)
13.0, 34.8, 0 0 1
17.5, 25.3, 2 0 0
33.5, 42.1, 1 1 1
36.4, 85.8, 4 0 -2
37.7, 100.0, 1 1 -2
38.9, 84.2, 3 1 0
39.7, 38.2, 0 0 3
42.0, 34.5, 4 0 1



No. 2
Mg2Ga: calculated X-ray powder pattern (Cu Kα X-rays), based on a DFT-relaxed cell (PBE, the Materials Project).
Lines closer than 0.1° are merged.

Crystal structure
```
12
Lattice="4.7601 0.0000 0.0000 0.0000 3.3330 0.0000 0.0000 0.0000 15.6164" Properties=species:S:1:pos:R:3 pbc="T T T"
Mg 0.0000 0.0000 0.0000
Mg 0.0000 0.0000 5.0977
Mg 0.0000 0.0000 10.3651
Mg 0.0000 1.6665 2.5569
Mg 0.0000 1.6665 7.8082
Mg 0.0000 1.6665 12.9059
Mg 2.3801 0.0000 13.7567
Mg 2.3801 1.6665 5.9485
Ga 2.3801 0.0000 3.3347
Ga 2.3801 0.0000 8.5986
Ga 2.3801 1.6665 0.7903
Ga 2.3801 1.6665 11.1429
```

The 8 most intense peaks (2θ from 5° to 70°), in order of rising 2θ:
two_theta, I_rel, (hkl)
11.3, 22.2, 0 0 2
18.6, 24.8, 1 0 0
31.9, 31.4, 0 1 3
37.2, 100.0, 1 1 3
37.8, 29.4, 2 0 0
39.5, 40.1, 1 0 6
50.3, 17.0, 2 1 3
67.9, 16.0, 3 1 3